This entry pairs a crystal structure of K2Dy2HfSe6 with its computed powder X-ray diffraction pattern. Radiation: Cu Ka. Structure: DFT lattice parameters and positions (PBE).

Most intense lines, 5 to 70 degrees two-theta, low angle first:
Position (°2θ), I_rel
11.26, 100
25.65, 13
29.36, 35
29.66, 69
37.05, 20
39.85, 23
39.99, 12
44.48, 24
44.77, 12
49.74, 12

Unit cell a=7.070 b=12.145 c=8.223 alpha=90.00 beta=107.12 gamma=90.00
Space group C2/m (No. 12)
Unique sites:
K (0.000, 0.170, 0.000)
Dy (0.000, 0.333, 0.500)
Hf (0.000, 0.000, 0.500)
Se (0.227, 0.158, 0.699)
Se (0.247, 0.000, 0.303)